For Pr3BWO9, DFT lattice parameters and positions (PBE+U) gives the computed powder diffractogram in this record (Cu Kα, 1.54184 Å).
No peak broadening, texture or thermal motion is included.

Structural model:
Cell: 8.8498 8.8498 5.6310 Å, 90.00 90.00 120.00°
Space group P6_3 (No. 173)
Inequivalent atoms, fractional coordinates:
Pr: 0.0818 0.7247 0.0000 x6
B: 0.0000 0.0000 0.1630 x2
W: 0.3333 0.6667 0.5428 x2
O: 0.0469 0.8725 0.6552 x6
O: 0.1369 0.5200 0.7654 x6
O: 0.2042 0.4684 0.3399 x6

Peak list (10 most intense, 10° ≤ 2θ ≤ 90°, in order of falling intensity)
Position (°2θ), I_rel, index
28.2, 100, 2 0 1
25.6, 85, 1 1 1
54.7, 34, 3 2 1
48.1, 29, 3 0 2
34.8, 26, 2 1 1
44.9, 25, 1 2 2
31.8, 24, 0 0 2
35.1, 24, 3 0 0
42.5, 20, 1 3 0
23.2, 18, 2 0 0



For Sm3BWO9, DFT lattice parameters and positions (PBE+U) gives the computed powder diffractogram in this record (Cu Kα, 1.54184 Å).
No peak broadening, texture or thermal motion is included.

Structural model:
Cell: 8.7091 8.7091 5.5215 Å, 90.00 90.00 120.00°
Space group P6_3 (No. 173)
Inequivalent atoms, fractional coordinates:
Sm: 0.0804 0.7243 0.0000 x6
B: 0.0000 0.0000 0.1658 x2
W: 0.3333 0.6667 0.5436 x2
O: 0.0502 0.8726 0.6572 x6
O: 0.1335 0.5182 0.7705 x6
O: 0.2039 0.4648 0.3382 x6

Peak list (10 most intense, 10° ≤ 2θ ≤ 90°, in order of falling intensity)
Position (°2θ), I_rel, index
28.7, 100, 2 0 1
26.1, 91, 1 1 1
55.7, 35, 3 2 1
49.0, 30, 3 0 2
45.8, 26, 1 2 2
35.4, 25, 2 1 1
35.7, 25, 3 0 0
32.4, 24, 0 0 2
43.3, 21, 1 3 0
31.4, 19, 1 2 0



For Tb3BWO9, DFT lattice parameters and positions (PBE+U) gives the computed powder diffractogram in this record (Cu Kα, 1.54184 Å).
No peak broadening, texture or thermal motion is included.

Structural model:
Cell: 8.5977 8.5977 5.4245 Å, 90.00 90.00 120.00°
Space group P6_3 (No. 173)
Inequivalent atoms, fractional coordinates:
Tb: 0.0794 0.7234 0.0000 x6
B: 0.0000 0.0000 0.1711 x2
W: 0.3333 0.6667 0.5432 x2
O: 0.0565 0.8755 0.6621 x6
O: 0.1308 0.5175 0.7737 x6
O: 0.2020 0.4622 0.3347 x6

Peak list (10 most intense, 10° ≤ 2θ ≤ 90°, in order of falling intensity)
Position (°2θ), I_rel, index
29.1, 100, 2 0 1
26.5, 98, 1 1 1
56.5, 36, 3 2 1
49.8, 31, 3 0 2
46.5, 26, 1 2 2
36.2, 26, 3 0 0
36.0, 25, 2 1 1
33.0, 25, 0 0 2
43.8, 22, 1 3 0
31.8, 21, 1 2 0